(1)
The following is a theoretical powder XRD pattern of Er4Cu5P7. It was derived from the PBE geometry in Alexandria, using λ = 1.5418 Å (Cu Kα).
Neutral-atom scattering factors, no anomalous dispersion.

Cell and atoms:
abc: 5.246 5.246 19.271
angles: 90.00 90.00 90.00
Space group I-42m (No. 121)
Unique sites:
Er 0.241 0.241 0.116 x8
Cu 0.000 0.000 0.249 x4
Cu 0.000 0.000 0.500 x2
Cu 0.000 0.500 0.250 x4
P 0.000 0.000 0.000 x2
P 0.000 0.500 0.000 x4
P 0.245 0.245 0.330 x8

Largest 8 diffraction maxima, low angle first, 10° ≤ 2θ ≤ 90°:
- (1 1 2), 2θ = 25.7°, I = 71
- (1 1 6), 2θ = 37.0°, I = 38
- (0 0 8), 2θ = 37.3°, I = 21
- (2 0 4), 2θ = 39.1°, I = 100
- (2 2 0), 2θ = 49.1°, I = 29
- (3 1 6), 2θ = 63.1°, I = 18
- (2 2 8), 2θ = 63.3°, I = 17
- (4 2 4), 2θ = 85.1°, I = 20

(2)
The following is a theoretical powder XRD pattern of Er8CuP3Se4. It was derived from the PBE geometry in Alexandria, using λ = 1.5418 Å (Cu Kα).
Neutral-atom scattering factors, no anomalous dispersion.

Cell and atoms:
abc: 7.9756 7.9756 19.8756
angles: 90.00 90.00 120.00
Space group R-3m (No. 166, hexagonal axes)
Unique sites:
Er 0.0000 0.0000 0.2424 x6
Er 0.0011 0.5006 0.7555 x18
Cu 0.0000 0.0000 0.5000 x3
P 0.0000 0.5000 0.5000 x9
Se 0.0000 0.0000 0.0000 x3
Se 0.0000 0.5000 0.0000 x9

Largest 8 diffraction maxima, low angle first, 10° ≤ 2θ ≤ 90°:
- (2 0 2), 2θ = 27.3°, I = 31
- (0 2 4), 2θ = 31.5°, I = 100
- (2 0 8), 2θ = 44.9°, I = 36
- (2 2 0), 2θ = 45.5°, I = 37
- (4 0 4), 2θ = 56.4°, I = 19
- (2 2 12), 2θ = 74.5°, I = 15
- (2 4 4), 2θ = 75.3°, I = 16
- (4 2 8), 2θ = 83.7°, I = 12